(1)
RbMnP3HO10: simulated powder diffractogram (Cu Kα (λ = 1.5418 Å)), based on DFT lattice parameters and positions (GGA+U).
Peak positions follow from Bragg's law for the DFT cell and can differ from measured ones.

Most intense lines, 10 to 90 degrees two-theta, sorted by position:
- d 6.000, I 41
- d 4.949, I 30
- d 4.368, I 65
- d 4.243, I 93
- d 3.433, I 78
- d 3.281, I 57
- d 3.043, I 100
- d 3.001, I 91
- d 2.924, I 63
- d 2.032, I 52

```
RbMnP3HO10
1.0
6.205 -4.241 0.000
6.205 4.241 0.000
-3.091 0.000 8.736
Rb Mn P H O
2 2 6 2 20
Direct
0.062 0.938 0.750
0.938 0.062 0.250
0.000 0.500 0.000
0.500 0.000 0.500
0.232 0.356 0.706
0.356 0.232 0.206
0.370 0.630 0.250
0.630 0.370 0.750
0.644 0.768 0.794
0.768 0.644 0.294
0.000 0.500 0.500
0.500 0.000 0.000
0.122 0.518 0.614
0.131 0.350 0.825
0.150 0.284 0.106
0.213 0.654 0.109
0.284 0.150 0.606
0.346 0.787 0.391
0.350 0.131 0.325
0.404 0.430 0.301
0.430 0.404 0.801
0.482 0.878 0.886
0.518 0.122 0.114
0.570 0.596 0.199
0.596 0.570 0.699
0.650 0.869 0.675
0.654 0.213 0.609
0.716 0.850 0.394
0.787 0.346 0.891
0.850 0.716 0.894
0.869 0.650 0.175
0.878 0.482 0.386
```



(2)
RbMnP3HO10: simulated powder diffractogram (Cu Kα (λ = 1.5418 Å)), based on DFT lattice parameters and positions (GGA+U).
Peak positions follow from Bragg's law for the DFT cell and can differ from measured ones.

Most intense lines, 10 to 90 degrees two-theta, sorted by position:
- d 5.964, I 44
- d 5.014, I 54
- d 4.262, I 68
- d 4.074, I 49
- d 3.690, I 63
- d 3.520, I 90
- d 3.054, I 100
- d 2.982, I 42
- d 2.961, I 44
- d 2.507, I 37

```
RbMnP3HO10
1.0
7.587 0.000 0.000
2.538 7.151 0.000
2.144 1.516 8.523
Rb Mn P H O
2 2 6 2 20
Direct
0.000 0.000 0.000
0.466 0.467 0.499
0.081 0.385 0.249
0.571 0.896 0.749
0.286 0.028 0.485
0.438 0.181 0.013
0.441 0.559 0.042
0.828 0.582 0.979
0.885 0.639 0.519
0.907 0.026 0.457
0.495 0.973 0.249
0.985 0.480 0.750
0.043 0.551 0.617
0.089 0.971 0.543
0.228 0.230 0.090
0.236 0.239 0.409
0.300 0.541 0.191
0.352 0.003 0.639
0.395 0.735 0.920
0.416 0.897 0.371
0.464 0.114 0.859
0.496 0.378 0.955
0.570 0.050 0.127
0.640 0.536 0.093
0.685 0.696 0.619
0.732 0.073 0.579
0.771 0.782 0.880
0.884 0.517 0.407
0.916 0.423 0.881
0.925 0.167 0.308
0.929 0.828 0.405
0.951 0.583 0.091
```



(3)
MnTl2P4H8O16: simulated powder diffractogram (Cu Kα (λ = 1.5418 Å)), based on DFT lattice parameters and positions (GGA+U).
Peak positions follow from Bragg's law for the DFT cell and can differ from measured ones.

Most intense lines, 10 to 90 degrees two-theta, sorted by position:
- d 7.452, I 30
- d 5.714, I 29
- d 5.127, I 28
- d 4.973, I 53
- d 3.789, I 60
- d 3.732, I 100
- d 3.154, I 28
- d 3.058, I 44
- d 2.867, I 27
- d 2.857, I 30

```
MnTl2P4H8O16
1.0
7.054 0.000 0.000
0.536 7.649 0.000
2.178 1.019 7.452
Mn Tl P H O
1 2 4 8 16
Direct
0.000 0.000 0.000
0.392 0.776 0.208
0.608 0.224 0.792
0.166 0.238 0.259
0.249 0.693 0.752
0.751 0.307 0.248
0.834 0.762 0.741
0.113 0.325 0.793
0.126 0.199 0.645
0.241 0.459 0.037
0.444 0.233 0.411
0.556 0.767 0.589
0.759 0.541 0.963
0.874 0.801 0.355
0.887 0.675 0.207
0.058 0.218 0.770
0.069 0.729 0.657
0.198 0.113 0.119
0.237 0.502 0.844
0.245 0.174 0.419
0.245 0.830 0.874
0.252 0.424 0.167
0.426 0.717 0.578
0.574 0.283 0.422
0.748 0.576 0.833
0.755 0.170 0.126
0.755 0.826 0.581
0.763 0.498 0.156
0.802 0.887 0.881
0.931 0.271 0.343
0.942 0.782 0.230
```



(4)
MnV2P2H8O14: simulated powder diffractogram (Cu Kα (λ = 1.5418 Å)), based on DFT lattice parameters and positions (GGA+U).
Peak positions follow from Bragg's law for the DFT cell and can differ from measured ones.

Most intense lines, 10 to 90 degrees two-theta, sorted by position:
- d 8.108, I 100
- d 5.332, I 10
- d 4.677, I 9
- d 4.524, I 6
- d 3.597, I 21
- d 3.308, I 7
- d 3.251, I 10
- d 2.954, I 26
- d 2.750, I 8
- d 2.692, I 7

```
MnV2P2H8O14
1.0
6.555 0.000 0.000
-0.077 6.684 0.000
-0.733 -2.088 8.108
Mn V P H O
1 2 2 8 14
Direct
0.000 0.000 0.000
0.245 0.389 0.108
0.755 0.611 0.892
0.370 0.841 0.095
0.630 0.159 0.905
0.149 0.260 0.795
0.206 0.099 0.530
0.452 0.878 0.785
0.458 0.336 0.636
0.542 0.664 0.364
0.548 0.122 0.215
0.794 0.901 0.470
0.851 0.740 0.205
0.091 0.296 0.904
0.123 0.239 0.208
0.175 0.240 0.589
0.338 0.667 0.193
0.347 0.359 0.555
0.464 0.017 0.766
0.496 0.731 0.943
0.504 0.269 0.057
0.536 0.983 0.234
0.653 0.641 0.445
0.662 0.333 0.807
0.825 0.760 0.411
0.877 0.761 0.792
0.909 0.704 0.096
```



Repeat the fourth record exactly.
MnV2P2H8O14: simulated powder diffractogram (Cu Kα (λ = 1.5418 Å)), based on DFT lattice parameters and positions (GGA+U).
Peak positions follow from Bragg's law for the DFT cell and can differ from measured ones.

Most intense lines, 10 to 90 degrees two-theta, sorted by position:
- d 8.108, I 100
- d 5.332, I 10
- d 4.677, I 9
- d 4.524, I 6
- d 3.597, I 21
- d 3.308, I 7
- d 3.251, I 10
- d 2.954, I 26
- d 2.750, I 8
- d 2.692, I 7

```
MnV2P2H8O14
1.0
6.555 0.000 0.000
-0.077 6.684 0.000
-0.733 -2.088 8.108
Mn V P H O
1 2 2 8 14
Direct
0.000 0.000 0.000
0.245 0.389 0.108
0.755 0.611 0.892
0.370 0.841 0.095
0.630 0.159 0.905
0.149 0.260 0.795
0.206 0.099 0.530
0.452 0.878 0.785
0.458 0.336 0.636
0.542 0.664 0.364
0.548 0.122 0.215
0.794 0.901 0.470
0.851 0.740 0.205
0.091 0.296 0.904
0.123 0.239 0.208
0.175 0.240 0.589
0.338 0.667 0.193
0.347 0.359 0.555
0.464 0.017 0.766
0.496 0.731 0.943
0.504 0.269 0.057
0.536 0.983 0.234
0.653 0.641 0.445
0.662 0.333 0.807
0.825 0.760 0.411
0.877 0.761 0.792
0.909 0.704 0.096
```